Computed powder diffractogram of MnVO4 for copper Kα, from a DFT-relaxed cell (PBE+U, the Materials Project).
Peak positions follow from Bragg's law for the DFT cell and can differ from measured ones.

Most intense lines, 2θ = 10–90°, sorted by position:
two_theta, intensity, (hkl)
24.8, 100, 2 0 0
28.3, 70, 2 0 -2
36.0, 73, 0 2 1
42.0, 14, 2 2 -2
51.3, 48, 4 2 -1
55.2, 39, 2 2 -3
67.2, 15, 0 2 3
67.3, 16, 6 2 -3

Cell and atoms:
```
data_MnVO4
_chemical_formula_sum 'Mn4 V4 O16'
_cell_length_a 9.555
_cell_length_b 5.870
_cell_length_c 6.310
_cell_angle_alpha 90.00
_cell_angle_beta 131.23
_cell_angle_gamma 90.00
_space_group_name_H-M_alt 'C 1 2/m 1'
_space_group_IT_number 12
loop_
_space_group_symop_operation_xyz
'x,y,z'
'-x,-y,-z'
'-x,y,-z'
'x,-y,z'
'x+1/2,y+1/2,z'
'-x+1/2,-y+1/2,-z'
'-x+1/2,y+1/2,-z'
'x+1/2,-y+1/2,z'
loop_
_atom_site_label
_atom_site_type_symbol
_atom_site_fract_x
_atom_site_fract_y
_atom_site_fract_z
Mn1 Mn 0.250 0.250 0.000
V1 V 0.213 0.000 0.463
O1 O 0.070 0.235 0.320
O2 O 0.239 0.500 0.189
O3 O 0.239 0.500 0.789
```